(1)
For K2GaF6, a PBE-relaxed structure gives the theoretical powder X-ray diffraction pattern in this record (CuKα).
Intensities are scaled so that the largest is 100.

Peak list (12 most intense, 10° ≤ 2θ ≤ 90°, most intense first)
2θ/deg  I/Imax  hkl
40.1  100  2 0 2
19.7  97  1 0 1
25.6  65  1 0 2
30.2  65  1 1 0
45.7  45  2 0 3
33.4  35  1 0 3
62.9  31  2 2 0
18.8  31  0 0 2
60.9  23  2 0 5
55.7  23  2 1 3
35.8  19  1 1 2
17.3  16  1 0 0

Structure:
a b c (Å): 5.9098 5.9098 9.4631
angles (deg): 90.00 90.00 120.00
Space group P6_3mc (No. 186)
Inequivalent atoms, fractional coordinates:
K1 0.0000 0.0000 0.0000 [2 per cell]
K2 0.3333 0.6667 0.2756 [2 per cell]
Ga1 0.3333 0.6667 0.6663 [2 per cell]
F1 0.0327 0.5164 0.5438 [6 per cell]
F2 0.1751 0.3502 0.7719 [6 per cell]


(2)
For K2GaF, a PBE-relaxed structure gives the theoretical powder X-ray diffraction pattern in this record (CuKα).
Intensities are scaled so that the largest is 100.

Peak list (12 most intense, 10° ≤ 2θ ≤ 90°, most intense first)
2θ/deg  I/Imax  hkl
25.3  100  1 1 2
27.5  71  2 1 1
41.8  35  3 1 2
46.0  29  2 0 4
32.7  23  2 2 0
52.0  20  3 2 3
31.4  18  1 0 3
36.1  16  3 0 1
52.9  14  4 2 0
51.2  10  4 0 2
23.0  9  2 0 0
54.1  9  3 3 2

Structure:
a b c (Å): 7.7434 7.7434 9.1798
angles (deg): 90.00 90.00 90.00
Space group I-42d (No. 122)
Inequivalent atoms, fractional coordinates:
K1 0.1401 0.2500 0.1250 [8 per cell]
Ga1 0.0000 0.0000 0.5000 [4 per cell]
F1 0.0000 0.0000 0.0000 [4 per cell]


(3)
For KGa2F8, a PBE-relaxed structure gives the theoretical powder X-ray diffraction pattern in this record (CuKα).
Intensities are scaled so that the largest is 100.

Peak list (12 most intense, 10° ≤ 2θ ≤ 90°, most intense first)
2θ/deg  I/Imax  hkl
29.3  100  0 2 0
15.7  94  2 0 0
23.0  93  0 0 1
27.9  84  3 1 0
28.8  78  2 0 1
27.1  75  2 0 -1
43.7  55  4 2 0
42.7  50  5 1 0
51.1  40  3 3 0
47.0  40  0 0 2
56.9  35  3 1 2
16.5  32  1 1 0

Structure:
a b c (Å): 11.3182 6.0943 3.8737
angles (deg): 90.00 93.52 90.00
Space group C2/m (No. 12)
Inequivalent atoms, fractional coordinates:
K1 0.0000 0.0000 0.0000 [2 per cell]
Ga1 0.1952 0.5000 0.4695 [4 per cell]
F1 0.0089 0.5000 0.2504 [4 per cell]
F2 0.1482 0.2015 0.4996 [8 per cell]
F3 0.2242 0.5000 0.9810 [4 per cell]


(4)
For K2GaOF5, a PBE-relaxed structure gives the theoretical powder X-ray diffraction pattern in this record (CuKα).
Intensities are scaled so that the largest is 100.

Peak list (12 most intense, 10° ≤ 2θ ≤ 90°, most intense first)
2θ/deg  I/Imax  hkl
18.0  100  1 1 -1
18.9  66  1 1 1
36.8  53  1 3 0
29.8  47  2 0 2
29.6  31  2 2 0
29.2  27  3 1 0
32.7  26  0 2 2
40.9  22  4 0 -2
37.8  21  1 1 3
26.3  20  1 1 -2
35.7  20  4 0 0
45.7  20  0 0 4

Structure:
a b c (Å): 10.0778 7.5622 7.9608
angles (deg): 90.00 94.65 90.00
Space group C2/c (No. 15)
Inequivalent atoms, fractional coordinates:
K1 0.1910 0.0054 0.0340 [8 per cell]
Ga1 0.0000 0.3157 0.7500 [4 per cell]
O1 0.0000 0.4029 0.2500 [4 per cell]
F1 0.0000 0.0632 0.7500 [4 per cell]
F2 0.0718 0.3241 0.9797 [8 per cell]
F3 0.1790 0.3291 0.6881 [8 per cell]


(5)
For KRbGa2F8, a PBE-relaxed structure gives the theoretical powder X-ray diffraction pattern in this record (CuKα).
Intensities are scaled so that the largest is 100.

Peak list (12 most intense, 10° ≤ 2θ ≤ 90°, most intense first)
2θ/deg  I/Imax  hkl
25.9  100  1 1 2
42.4  30  2 0 4
51.7  23  1 3 2
67.9  15  3 1 6
48.9  13  1 1 6
30.7  13  2 0 0
44.0  13  2 2 0
53.2  11  2 2 4
28.5  10  0 0 4
16.8  9  1 0 1
68.0  8  2 0 8
36.0  7  1 1 4

Structure:
a b c (Å): 5.8261 5.8261 12.5199
angles (deg): 90.00 90.00 90.00
Space group I-4 (No. 82)
Inequivalent atoms, fractional coordinates:
K1 0.0000 0.0000 0.0000 [2 per cell]
Rb1 0.0000 0.5000 0.2500 [2 per cell]
Ga1 0.0000 0.0000 0.5000 [2 per cell]
Ga2 0.0000 0.5000 0.7500 [2 per cell]
F1 0.1327 0.7206 0.8306 [8 per cell]
F2 0.1480 0.2144 0.4219 [8 per cell]